No. 1
The following is a theoretical powder diffraction line list of BaCeEuSbO6. It was derived from DFT lattice parameters and positions (PBE), using Cu Ka.
Peak positions follow from Bragg's law for the DFT cell and can differ from measured ones.

The 10 most intense peaks (10° ≤ 2θ ≤ 90°), low angle first:
two_theta  d_spacing  I_rel  index
29.2  3.058  100  2 0 2
41.7  2.166  18  0 0 4
41.9  2.155  9  4 0 0
51.7  1.767  30  2 4 2
51.9  1.763  15  4 2 2
60.6  1.528  11  4 4 0
68.5  1.370  9  0 2 6
68.8  1.364  6  6 0 2
83.6  1.157  11  4 2 6
83.8  1.154  7  6 4 2

Structural model:
a = 8.6208 Å, b = 8.6571 Å, c = 8.6669 Å
α = 90.00°, β = 90.00°, γ = 90.00°
Fractional positions:
Ba 0.0000 0.0000 0.0000
Ba 0.0000 0.0000 0.5000
Ba 0.0000 0.5000 0.0000
Ba 0.5000 0.5000 0.0000
Ce 0.2528 0.2515 0.2548
Ce 0.2528 0.7485 0.7452
Ce 0.7472 0.2515 0.7452
Ce 0.7472 0.7485 0.2548
Eu 0.0000 0.5000 0.5000
Eu 0.5000 0.0000 0.0000
Eu 0.5000 0.0000 0.5000
Eu 0.5000 0.5000 0.5000
Sb 0.2512 0.2513 0.7471
Sb 0.2512 0.7487 0.2529
Sb 0.7488 0.2513 0.2529
Sb 0.7488 0.7487 0.7471
O 0.0146 0.2145 0.7788
O 0.0146 0.7855 0.2212
O 0.2072 0.2889 0.5140
O 0.2072 0.7111 0.4860
O 0.2201 0.4867 0.7842
O 0.2201 0.5133 0.2158
O 0.2896 0.0132 0.7065
O 0.2896 0.9868 0.2935
O 0.2944 0.2131 0.9852
O 0.2944 0.7869 0.0148
O 0.4860 0.2935 0.7096
O 0.4860 0.7065 0.2904
O 0.5140 0.2935 0.2904
O 0.5140 0.7065 0.7096
O 0.7056 0.2131 0.0148
O 0.7056 0.7869 0.9852
O 0.7104 0.0132 0.2935
O 0.7104 0.9868 0.7065
O 0.7799 0.4867 0.2158
O 0.7799 0.5133 0.7842
O 0.7928 0.2889 0.4860
O 0.7928 0.7111 0.5140
O 0.9854 0.2145 0.2212
O 0.9854 0.7855 0.7788

No. 2
The following is a theoretical powder diffraction line list of CrSi2. It was derived from DFT lattice parameters and positions (PBE), using Cu Ka.
Peak positions follow from Bragg's law for the DFT cell and can differ from measured ones.

The 10 most intense peaks (10° ≤ 2θ ≤ 90°), low angle first:
two_theta  d_spacing  I_rel  index
27.2  3.276  20  1 0 1
40.9  2.205  15  1 1 0
42.6  2.124  40  0 0 3
43.4  2.084  100  1 1 1
50.3  1.813  63  1 1 2
60.5  1.530  9  1 1 3
73.3  1.291  19  1 1 4
76.3  1.248  17  3 0 1
81.4  1.182  15  3 0 2
88.7  1.103  25  2 2 0

Structural model:
a = 4.4103 Å, b = 4.4103 Å, c = 6.3705 Å
α = 90.00°, β = 90.00°, γ = 120.00°
Fractional positions:
Cr 0.0000 0.5000 0.3333
Cr 0.5000 0.0000 0.0000
Cr 0.5000 0.5000 0.6667
Si 0.1662 0.3323 0.0000
Si 0.1662 0.8338 0.6667
Si 0.3323 0.1662 0.3333
Si 0.6677 0.8338 0.3333
Si 0.8338 0.1662 0.6667
Si 0.8338 0.6677 0.0000

No. 3
The following is a theoretical powder diffraction line list of V6GaSb. It was derived from DFT lattice parameters and positions (PBE), using Cu Ka.
Peak positions follow from Bragg's law for the DFT cell and can differ from measured ones.

The 10 most intense peaks (10° ≤ 2θ ≤ 90°), low angle first:
two_theta  d_spacing  I_rel  index
18.2  4.870  6  1 0 0
25.9  3.443  23  1 1 0
31.8  2.811  4  1 1 1
36.9  2.435  47  2 0 0
41.5  2.178  64  2 0 1
45.6  1.988  100  2 1 1
60.1  1.540  5  3 1 0
69.6  1.351  12  3 2 0
72.6  1.301  47  3 1 2
78.6  1.217  13  4 0 0

Structural model:
a = 4.8696 Å, b = 4.8696 Å, c = 4.8696 Å
α = 90.00°, β = 90.00°, γ = 90.00°
Fractional positions:
V 0.0000 0.2437 0.5000
V 0.0000 0.7563 0.5000
V 0.2437 0.5000 0.0000
V 0.5000 0.0000 0.2437
V 0.5000 0.0000 0.7563
V 0.7563 0.5000 0.0000
Ga 0.0000 0.0000 0.0000
Sb 0.5000 0.5000 0.5000